The following is a simulated powder diffractogram of SrEuTe2. It was derived from a DFT-relaxed cell (GGA-PBE, the Materials Project), using λ = 1.5418 Å (Cu Kα).
Lines closer than 0.1° are merged.

Atomic structure:
Cell lengths 4.043, 4.043, 8.093 Å; angles 90.00, 90.00, 90.00 degrees
Atoms (fractional coordinates):
Sr: 0.000 0.000 0.000
Eu: 0.000 0.000 0.500
Te: 0.500 0.500 0.252
Te: 0.500 0.500 0.748

Largest 8 diffraction maxima, by angle, 10° ≤ 2θ ≤ 80°:
| d (Å) | two_theta | intensity |
| --- | --- | --- |
| 8.093 | 10.93 | 3 |
| 3.617 | 24.62 | 2 |
| 2.860 | 31.28 | 100 |
| 2.696 | 33.23 | 1 |
| 2.022 | 44.82 | 18 |
| 1.651 | 55.67 | 39 |
| 1.430 | 65.26 | 12 |
| 1.279 | 74.15 | 16 |